(1)
Theoretical powder diffraction line list
Compound: PrGa4NiRh2
Radiation: a wavelength of 1.5418 Å
Structure: a DFT-relaxed cell (GGA-PBE, Alexandria)
Intensities are scaled so that the largest is 100.

Principal peaks in the range 2θ from 10° to 90°, sorted by position:
| 2θ/deg | I_rel |
| --- | --- |
| 10.1 | 17.1 |
| 27.8 | 11.9 |
| 29.7 | 39.3 |
| 36.7 | 66.8 |
| 42.7 | 100.0 |
| 45.2 | 27.8 |
| 53.4 | 10.9 |
| 57.5 | 17.6 |
| 74.2 | 16.2 |
| 78.1 | 16.1 |

Structural model:
Cell lengths 9.1099, 9.1099, 9.1099 Å; angles 26.91, 26.91, 26.91 degrees
Positions (direct):
Pr (0.0000, 0.0000, 0.0000)
Ga (0.1320, 0.1320, 0.1320)
Ga (0.4039, 0.4039, 0.4039)
Ga (0.5961, 0.5961, 0.5961)
Ga (0.8680, 0.8680, 0.8680)
Ni (0.5000, 0.5000, 0.5000)
Rh (0.2294, 0.2294, 0.2294)
Rh (0.7706, 0.7706, 0.7706)

(2)
Theoretical powder diffraction line list
Compound: PrGaSi2Ni5
Radiation: a wavelength of 1.5418 Å
Structure: a DFT-relaxed cell (GGA-PBE, Alexandria)
Intensities are scaled so that the largest is 100.

Principal peaks in the range 2θ from 10° to 90°, sorted by position:
| 2θ/deg | I_rel |
| --- | --- |
| 17.9 | 24.6 |
| 26.9 | 65.3 |
| 29.6 | 66.7 |
| 34.6 | 91.4 |
| 38.1 | 79.8 |
| 47.8 | 73.5 |
| 50.0 | 100.0 |
| 55.7 | 32.3 |
| 70.0 | 22.2 |
| 76.2 | 21.4 |

Structural model:
Cell lengths 3.8029, 3.8029, 9.9367 Å; angles 90.00, 90.00, 90.00 degrees
Positions (direct):
Pr (0.0000, 0.0000, 0.0000)
Ga (0.0000, 0.0000, 0.5000)
Si (0.5000, 0.5000, 0.2230)
Si (0.5000, 0.5000, 0.7770)
Ni (0.0000, 0.5000, 0.3479)
Ni (0.0000, 0.5000, 0.6521)
Ni (0.5000, 0.0000, 0.3479)
Ni (0.5000, 0.0000, 0.6521)
Ni (0.5000, 0.5000, 0.0000)

(3)
Theoretical powder diffraction line list
Compound: PrGa2SiNi2
Radiation: a wavelength of 1.5418 Å
Structure: a DFT-relaxed cell (GGA-PBE, Alexandria)
Intensities are scaled so that the largest is 100.

Principal peaks in the range 2θ from 10° to 90°, sorted by position:
| 2θ/deg | I_rel |
| --- | --- |
| 26.0 | 29.5 |
| 29.3 | 35.4 |
| 33.4 | 91.6 |
| 38.1 | 100.0 |
| 41.9 | 76.6 |
| 57.9 | 57.9 |
| 60.7 | 24.6 |
| 71.1 | 19.0 |
| 81.6 | 20.2 |
| 88.8 | 17.6 |

Structural model:
Cell lengths 4.3155, 4.3155, 5.6369 Å; angles 90.00, 90.00, 90.00 degrees
Positions (direct):
Pr (0.0000, 0.0000, 0.0000)
Ga (0.5000, 0.5000, 0.2409)
Ga (0.5000, 0.5000, 0.7591)
Si (0.0000, 0.0000, 0.5000)
Ni (0.0000, 0.5000, 0.5000)
Ni (0.5000, 0.0000, 0.5000)

(4)
Theoretical powder diffraction line list
Compound: PrZn2GaNi
Radiation: a wavelength of 1.5418 Å
Structure: a DFT-relaxed cell (GGA-PBE, Alexandria)
Intensities are scaled so that the largest is 100.

Principal peaks in the range 2θ from 10° to 90°, sorted by position:
| 2θ/deg | I_rel |
| --- | --- |
| 30.4 | 13.7 |
| 32.9 | 28.3 |
| 33.4 | 27.9 |
| 34.8 | 100.0 |
| 42.6 | 26.9 |
| 44.3 | 24.0 |
| 47.7 | 15.7 |
| 48.1 | 14.6 |
| 55.2 | 13.0 |
| 63.2 | 16.0 |

Structural model:
Cell lengths 4.0883, 4.2405, 10.6773 Å; angles 90.00, 90.00, 90.00 degrees
Positions (direct):
Pr (0.0000, 0.0000, 0.0000)
Pr (0.5000, 0.5000, 0.5000)
Zn (0.0000, 0.0000, 0.6102)
Zn (0.0000, 0.5000, 0.2610)
Zn (0.5000, 0.0000, 0.7610)
Zn (0.5000, 0.5000, 0.1102)
Ga (0.0000, 0.5000, 0.7594)
Ga (0.5000, 0.0000, 0.2594)
Ni (0.0000, 0.0000, 0.3834)
Ni (0.5000, 0.5000, 0.8834)

(5)
Theoretical powder diffraction line list
Compound: GaNi4Pt9
Radiation: a wavelength of 1.5418 Å
Structure: a DFT-relaxed cell (GGA-PBE, Alexandria)
Intensities are scaled so that the largest is 100.

Principal peaks in the range 2θ from 10° to 90°, sorted by position:
| 2θ/deg | I_rel |
| --- | --- |
| 35.1 | 64.1 |
| 36.2 | 19.0 |
| 42.6 | 100.0 |
| 42.8 | 36.7 |
| 43.1 | 21.5 |
| 44.3 | 26.3 |
| 48.0 | 19.2 |
| 71.6 | 20.1 |
| 72.1 | 23.2 |
| 76.2 | 25.4 |

Structural model:
Cell lengths 7.5755, 7.5755, 8.1848 Å; angles 90.00, 90.00, 120.00 degrees
Positions (direct):
Ga (0.3333, 0.6667, 0.2500)
Ga (0.6667, 0.3333, 0.7500)
Ni (0.0000, 0.0000, 0.0000)
Ni (0.0000, 0.0000, 0.5000)
Ni (0.1060, 0.2120, 0.7500)
Ni (0.1060, 0.8940, 0.7500)
Ni (0.2120, 0.1060, 0.2500)
Ni (0.7880, 0.8940, 0.7500)
Ni (0.8940, 0.1060, 0.2500)
Ni (0.8940, 0.7880, 0.2500)
Pt (0.0742, 0.5371, 0.7500)
Pt (0.2021, 0.4043, 0.0328)
Pt (0.2021, 0.4043, 0.4672)
Pt (0.2021, 0.7979, 0.0328)
Pt (0.2021, 0.7979, 0.4672)
Pt (0.4043, 0.2021, 0.5328)
Pt (0.4043, 0.2021, 0.9672)
Pt (0.4629, 0.5371, 0.7500)
Pt (0.4629, 0.9258, 0.7500)
Pt (0.5371, 0.0742, 0.2500)
Pt (0.5371, 0.4629, 0.2500)
Pt (0.5957, 0.7979, 0.0328)
Pt (0.5957, 0.7979, 0.4672)
Pt (0.7979, 0.2021, 0.5328)
Pt (0.7979, 0.2021, 0.9672)
Pt (0.7979, 0.5957, 0.5328)
Pt (0.7979, 0.5957, 0.9672)
Pt (0.9258, 0.4629, 0.2500)

(6)
Theoretical powder diffraction line list
Compound: Ga4Ni9Pt2
Radiation: a wavelength of 1.5418 Å
Structure: a DFT-relaxed cell (GGA-PBE, Alexandria)
Intensities are scaled so that the largest is 100.

Principal peaks in the range 2θ from 10° to 90°, sorted by position:
| 2θ/deg | I_rel |
| --- | --- |
| 14.0 | 16.5 |
| 32.4 | 15.0 |
| 42.3 | 100.0 |
| 43.0 | 99.9 |
| 48.4 | 32.7 |
| 50.1 | 31.3 |
| 50.5 | 30.3 |
| 72.2 | 18.8 |
| 73.9 | 18.6 |
| 88.8 | 21.7 |

Structural model:
Cell lengths 4.4274, 4.4274, 13.2036 Å; angles 105.26, 105.26, 48.54 degrees
Positions (direct):
Ga (0.1640, 0.1640, 0.1228)
Ga (0.1727, 0.1727, 0.3465)
Ga (0.8273, 0.8273, 0.6535)
Ga (0.8360, 0.8360, 0.8772)
Ni (0.1611, 0.1611, 0.5311)
Ni (0.1669, 0.1669, 0.9351)
Ni (0.4909, 0.4909, 0.5931)
Ni (0.5000, 0.5000, 0.0000)
Ni (0.4995, 0.4995, 0.1909)
Ni (0.5005, 0.5005, 0.8091)
Ni (0.5091, 0.5091, 0.4069)
Ni (0.8331, 0.8331, 0.0649)
Ni (0.8389, 0.8389, 0.4689)
Pt (0.1656, 0.1656, 0.7321)
Pt (0.8344, 0.8344, 0.2679)

(7)
Theoretical powder diffraction line list
Compound: Ga2Ni5Pt
Radiation: a wavelength of 1.5418 Å
Structure: a DFT-relaxed cell (GGA-PBE, Alexandria)
Intensities are scaled so that the largest is 100.

Principal peaks in the range 2θ from 10° to 90°, sorted by position:
| 2θ/deg | I_rel |
| --- | --- |
| 21.0 | 22.1 |
| 24.3 | 11.0 |
| 40.9 | 12.6 |
| 42.8 | 100.0 |
| 49.7 | 15.9 |
| 49.9 | 31.5 |
| 73.0 | 19.2 |
| 73.2 | 9.5 |
| 88.4 | 11.7 |
| 88.6 | 23.3 |

Structural model:
Cell lengths 5.1739, 5.1739, 7.3378 Å; angles 90.00, 90.00, 90.00 degrees
Positions (direct):
Ga (0.0000, 0.5000, 0.0000)
Ga (0.0000, 0.5000, 0.5000)
Ga (0.5000, 0.0000, 0.0000)
Ga (0.5000, 0.0000, 0.5000)
Ni (0.0000, 0.0000, 0.4986)
Ni (0.2504, 0.2504, 0.2495)
Ni (0.2496, 0.2496, 0.7495)
Ni (0.2504, 0.7496, 0.2495)
Ni (0.2496, 0.7504, 0.7495)
Ni (0.5000, 0.5000, 0.9986)
Ni (0.7496, 0.2504, 0.2495)
Ni (0.7504, 0.2496, 0.7495)
Ni (0.7496, 0.7496, 0.2495)
Ni (0.7504, 0.7504, 0.7495)
Pt (0.0000, 0.0000, 0.0000)
Pt (0.5000, 0.5000, 0.5000)

(8)
Theoretical powder diffraction line list
Compound: GaNi4Pt3
Radiation: a wavelength of 1.5418 Å
Structure: a DFT-relaxed cell (GGA-PBE, Alexandria)
Intensities are scaled so that the largest is 100.

Principal peaks in the range 2θ from 10° to 90°, sorted by position:
| 2θ/deg | I_rel |
| --- | --- |
| 25.3 | 41.5 |
| 32.7 | 72.0 |
| 36.3 | 81.5 |
| 41.0 | 100.0 |
| 41.1 | 64.1 |
| 41.5 | 70.6 |
| 41.8 | 94.5 |
| 41.9 | 76.7 |
| 51.8 | 46.8 |
| 55.9 | 60.3 |

Structural model:
Cell lengths 10.0648, 4.9465, 5.0178 Å; angles 90.00, 118.89, 90.00 degrees
Positions (direct):
Ga (0.0000, 0.0000, 0.0000)
Ga (0.5000, 0.5000, 0.0000)
Ni (0.2627, 0.0000, 0.4110)
Ni (0.2688, 0.5000, 0.0491)
Ni (0.4875, 0.2468, 0.4393)
Ni (0.4875, 0.7532, 0.4393)
Ni (0.7627, 0.5000, 0.4110)
Ni (0.7688, 0.0000, 0.0491)
Ni (0.9875, 0.2532, 0.4393)
Ni (0.9875, 0.7468, 0.4393)
Pt (0.2186, 0.0000, 0.8742)
Pt (0.2420, 0.5000, 0.5222)
Pt (0.4992, 0.0000, 0.9311)
Pt (0.7186, 0.5000, 0.8742)
Pt (0.7420, 0.0000, 0.5222)
Pt (0.9992, 0.5000, 0.9311)